Diffraction record for Ac3Tl2Pd6Au. The powder XRD pattern is calculated, not measured: it uses a GGA-PBE-relaxed structure and a wavelength of 1.5418 Å.
No peak broadening, texture or thermal motion is included.

Cell and atoms:
abc: 5.9356 5.9356 9.1999
angles: 90.00 90.00 120.00
Space group P-3m1 (No. 164)
Inequivalent atoms, fractional coordinates:
Ac (0.0000, 0.0000, 0.0000) x1
Ac (0.3333, 0.6667, 0.6116) x2
Tl (0.3333, 0.6667, 0.0036) x2
Pd (0.1749, 0.3497, 0.2741) x6
Au (0.0000, 0.0000, 0.5000) x1

Peak list (10 most intense, 10° ≤ 2θ ≤ 90°, in order of rising 2θ)
3.428 Å, intensity 23.2, hkl 0 1 2; 3.067 Å, intensity 21.0, hkl 0 0 3; 2.968 Å, intensity 72.8, hkl 1 1 0; 2.634 Å, intensity 30.3, hkl 0 1 3; 2.494 Å, intensity 100.0, hkl 1 1 2; 2.475 Å, intensity 51.1, hkl 0 2 1; 2.244 Å, intensity 34.1, hkl 2 0 2; 1.606 Å, intensity 27.0, hkl 0 3 2; 1.564 Å, intensity 19.5, hkl 1 1 5; 1.484 Å, intensity 43.6, hkl 2 2 0